This entry pairs a crystal structure of MgV4O8 with its computed X-ray powder pattern. Radiation: Cu Kα X-rays. Structure: a crystal structure in the Materials Project, relaxed with PBE+U.
No peak broadening, texture or thermal motion is included.

Structural model:
Cell: 14.462 3.011 9.507 Å, 90.00 130.39 90.00°
Space group Cm (No. 8)
Symmetry-distinct sites (fractional):
Mg (0.000, 0.000, 0.000) [2 per cell]
V (0.187, 0.000, 0.997) [2 per cell]
V (0.203, 0.500, 0.366) [2 per cell]
V (0.478, 0.500, 0.288) [2 per cell]
V (0.489, 0.000, 0.632) [2 per cell]
O (0.045, 0.500, 0.898) [2 per cell]
O (0.116, 0.000, 0.756) [2 per cell]
O (0.161, 0.000, 0.445) [2 per cell]
O (0.187, 0.000, 0.207) [2 per cell]
O (0.294, 0.500, 0.083) [2 per cell]
O (0.365, 0.500, 0.546) [2 per cell]
O (0.473, 0.000, 0.416) [2 per cell]
O (0.495, 0.000, 0.142) [2 per cell]

Largest 6 diffraction maxima, in order of rising 2θ, 2θ = 10–80°:
2θ/deg  d/Å  intensity
12.22  7.241  100
12.37  7.153  95
16.09  5.507  88
18.67  4.753  96
32.52  2.754  69
35.20  2.550  65

***

This entry pairs a crystal structure of Nd2Mo4O15 with its computed X-ray powder pattern. Radiation: Cu Kα X-rays. Structure: a crystal structure in the Materials Project, relaxed with PBE+U.
No peak broadening, texture or thermal motion is included.

Structural model:
Cell: 7.526 7.638 11.905 Å, 88.84 84.07 84.04°
Space group P-1 (No. 2)
Symmetry-distinct sites (fractional):
Nd (0.181, 0.089, 0.224) [2 per cell]
Nd (0.253, 0.586, 0.777) [2 per cell]
Mo (0.061, 0.747, 0.472) [2 per cell]
Mo (0.228, 0.570, 0.128) [2 per cell]
Mo (0.272, 0.071, 0.871) [2 per cell]
Mo (0.404, 0.330, 0.471) [2 per cell]
O (0.074, 0.407, 0.181) [2 per cell]
O (0.078, 0.735, 0.621) [2 per cell]
O (0.120, 0.947, 0.404) [2 per cell]
O (0.146, 0.905, 0.813) [2 per cell]
O (0.165, 0.785, 0.185) [2 per cell]
O (0.168, 0.292, 0.559) [2 per cell]
O (0.204, 0.570, 0.410) [2 per cell]
O (0.205, 0.097, 0.018) [2 per cell]
O (0.226, 0.592, 0.979) [2 per cell]
O (0.237, 0.283, 0.804) [2 per cell]
O (0.364, 0.227, 0.344) [2 per cell]
O (0.416, 0.526, 0.597) [2 per cell]
O (0.448, 0.487, 0.159) [2 per cell]
O (0.467, 0.830, 0.462) [2 per cell]
O (0.497, 0.008, 0.153) [2 per cell]

Largest 6 diffraction maxima, in order of rising 2θ, 2θ = 10–80°:
2θ/deg  d/Å  intensity
22.53  3.947  100
23.88  3.726  48
24.32  3.660  64
25.21  3.533  49
28.72  3.109  52
29.60  3.018  44

***

This entry pairs a crystal structure of Li2NiP2O8 with its computed X-ray powder pattern. Radiation: Cu Kα X-rays. Structure: a crystal structure in the Materials Project, relaxed with PBE+U.
No peak broadening, texture or thermal motion is included.

Structural model:
Cell: 8.215 5.348 6.349 Å, 90.00 90.29 90.00°
Space group Cm (No. 8)
Symmetry-distinct sites (fractional):
Li (0.000, 0.000, 0.000) [2 per cell]
Li (0.173, 0.500, 0.243) [2 per cell]
Ni (0.173, 0.500, 0.733) [2 per cell]
P (0.031, 0.000, 0.501) [2 per cell]
P (0.318, 0.000, 0.975) [2 per cell]
O (0.141, 0.235, 0.499) [4 per cell]
O (0.205, 0.233, 0.973) [4 per cell]
O (0.421, 0.500, 0.701) [2 per cell]
O (0.428, 0.000, 0.172) [2 per cell]
O (0.429, 0.000, 0.778) [2 per cell]
O (0.429, 0.500, 0.295) [2 per cell]

Largest 6 diffraction maxima, in order of rising 2θ, 2θ = 10–80°:
2θ/deg  d/Å  intensity
13.95  6.349  60
24.34  3.657  100
25.77  3.457  59
33.51  2.674  26
34.63  2.590  68
36.88  2.437  31

***

This entry pairs a crystal structure of MgFe8O8F8 with its computed X-ray powder pattern. Radiation: Cu Kα X-rays. Structure: a crystal structure in the Materials Project, relaxed with PBE+U.
No peak broadening, texture or thermal motion is included.

Structural model:
Cell: 3.104 9.735 9.817 Å, 87.38 89.74 89.91°
Space group P1 (No. 1)
Symmetry-distinct sites (fractional):
Mg (0.000, 0.000, 0.000) [1 per cell]
Fe (0.018, 0.272, 0.513) [1 per cell]
Fe (0.018, 0.713, 0.987) [1 per cell]
Fe (0.019, 0.741, 0.504) [1 per cell]
Fe (0.043, 0.270, 0.017) [1 per cell]
Fe (0.509, 0.037, 0.733) [1 per cell]
Fe (0.513, 0.054, 0.287) [1 per cell]
Fe (0.519, 0.504, 0.721) [1 per cell]
Fe (0.525, 0.509, 0.293) [1 per cell]
O (0.010, 0.112, 0.653) [1 per cell]
O (0.015, 0.106, 0.167) [1 per cell]
O (0.019, 0.611, 0.658) [1 per cell]
O (0.024, 0.417, 0.362) [1 per cell]
O (0.504, 0.111, 0.917) [1 per cell]
O (0.518, 0.175, 0.421) [1 per cell]
O (0.518, 0.358, 0.607) [1 per cell]
O (0.521, 0.672, 0.407) [1 per cell]
F (0.008, 0.882, 0.840) [1 per cell]
F (0.016, 0.920, 0.361) [1 per cell]
F (0.026, 0.402, 0.850) [1 per cell]
F (0.028, 0.611, 0.166) [1 per cell]
F (0.511, 0.857, 0.065) [1 per cell]
F (0.513, 0.861, 0.599) [1 per cell]
F (0.520, 0.621, 0.898) [1 per cell]
F (0.537, 0.380, 0.113) [1 per cell]

Largest 6 diffraction maxima, in order of rising 2θ, 2θ = 10–80°:
2θ/deg  d/Å  intensity
25.20  3.534  100
26.40  3.376  99
34.12  2.628  34
34.27  2.617  97
51.86  1.763  32
59.57  1.552  28

***

This entry pairs a crystal structure of Sr3Ca5Mn8O23 with its computed X-ray powder pattern. Radiation: Cu Kα X-rays. Structure: a crystal structure in the Materials Project, relaxed with PBE+U.
No peak broadening, texture or thermal motion is included.

Structural model:
Cell: 7.650 7.666 7.733 Å, 90.00 90.09 90.00°
Space group Pm (No. 6)
Symmetry-distinct sites (fractional):
Sr (0.000, 0.000, 0.000) [1 per cell]
Sr (0.001, 0.500, 0.013) [1 per cell]
Sr (0.999, 0.500, 0.495) [1 per cell]
Ca (0.510, 0.500, 0.502) [1 per cell]
Ca (0.512, 0.000, 0.006) [1 per cell]
Ca (0.513, 0.000, 0.480) [1 per cell]
Ca (0.519, 0.500, 0.014) [1 per cell]
Ca (0.979, 0.000, 0.492) [1 per cell]
Mn (0.256, 0.250, 0.254) [2 per cell]
Mn (0.262, 0.234, 0.746) [2 per cell]
Mn (0.749, 0.249, 0.252) [2 per cell]
Mn (0.749, 0.251, 0.750) [2 per cell]
O (0.002, 0.279, 0.262) [2 per cell]
O (0.008, 0.217, 0.730) [2 per cell]
O (0.219, 0.000, 0.291) [1 per cell]
O (0.242, 0.242, 0.996) [2 per cell]
O (0.273, 0.295, 0.505) [2 per cell]
O (0.295, 0.500, 0.227) [1 per cell]
O (0.324, 0.000, 0.729) [1 per cell]
O (0.499, 0.314, 0.764) [2 per cell]
O (0.501, 0.204, 0.238) [2 per cell]
O (0.708, 0.000, 0.770) [1 per cell]
O (0.714, 0.500, 0.268) [1 per cell]
O (0.732, 0.228, 0.502) [2 per cell]
O (0.755, 0.266, 0.002) [2 per cell]
O (0.784, 0.000, 0.241) [1 per cell]
O (0.797, 0.500, 0.739) [1 per cell]

Largest 6 diffraction maxima, in order of rising 2θ, 2θ = 10–80°:
2θ/deg  d/Å  intensity
32.92  2.721  100
33.09  2.708  57
47.00  1.933  23
47.54  1.913  20
58.67  1.573  21
58.97  1.566  31

***

This entry pairs a crystal structure of VW2O8 with its computed X-ray powder pattern. Radiation: Cu Kα X-rays. Structure: a crystal structure in the Materials Project, relaxed with PBE+U.
No peak broadening, texture or thermal motion is included.

Structural model:
Cell: 4.949 5.258 6.997 Å, 109.22 91.19 104.83°
Space group P-1 (No. 2)
Symmetry-distinct sites (fractional):
V (0.000, 0.000, 0.000) [1 per cell]
W (0.252, 0.476, 0.826) [2 per cell]
O (0.098, 0.766, 0.149) [2 per cell]
O (0.121, 0.755, 0.774) [2 per cell]
O (0.333, 0.292, 0.592) [2 per cell]
O (0.368, 0.288, 0.029) [2 per cell]

Largest 6 diffraction maxima, in order of rising 2θ, 2θ = 10–80°:
2θ/deg  d/Å  intensity
13.49  6.563  100
18.61  4.768  79
21.79  4.079  41
24.36  3.654  65
28.46  3.137  39
29.15  3.064  36